For ErMoBrO4, DFT lattice parameters and positions (PBE+U) gives the calculated X-ray diffraction stick pattern in this record (Cu Kα X-rays).

Lattice parameters (Å, degrees): 7.0319 7.2984 10.8871 102.67 107.94 95.57
Sites, in units of the cell vectors:
Er: 0.1237 0.3345 0.2325
Er: 0.1683 0.0917 0.7288
Er: 0.8317 0.9083 0.2712
Er: 0.8763 0.6655 0.7675
Mo: 0.2256 0.8186 0.1350
Mo: 0.2713 0.5801 0.6277
Mo: 0.7287 0.4199 0.3723
Mo: 0.7744 0.1814 0.8650
Br: 0.2334 0.9827 0.4791
Br: 0.3053 0.2760 0.0109
Br: 0.6947 0.7240 0.9891
Br: 0.7666 0.0173 0.5209
O: 0.0941 0.0116 0.1910
O: 0.1510 0.7407 0.9579
O: 0.1547 0.7726 0.7042
O: 0.1567 0.6251 0.1982
O: 0.1724 0.4988 0.4487
O: 0.2260 0.3852 0.6952
O: 0.4621 0.3486 0.3260
O: 0.4937 0.8940 0.2032
O: 0.5063 0.1060 0.7968
O: 0.5379 0.6514 0.6740
O: 0.7740 0.6148 0.3048
O: 0.8276 0.5012 0.5513
O: 0.8433 0.3749 0.8018
O: 0.8453 0.2274 0.2958
O: 0.8490 0.2593 0.0421
O: 0.9059 0.9884 0.8090

The 10 most intense peaks (2θ = 15–90°), low angle first:
d = 4.996 Å, I = 24
d = 3.617 Å, I = 100
d = 3.456 Å, I = 42
d = 3.292 Å, I = 30
d = 3.258 Å, I = 22
d = 2.994 Å, I = 32
d = 2.917 Å, I = 33
d = 2.672 Å, I = 23
d = 2.538 Å, I = 15
d = 2.511 Å, I = 18